The following is a calculated powder diffractogram of Ca2CuS2O2. It was derived from a PBE-relaxed structure, using copper Kα.
Neutral-atom scattering factors, no anomalous dispersion.

Structure:
```
Ca2CuS2O2
1.0
3.868 0.000 0.000
0.000 3.868 0.000
0.000 0.000 7.747
Ca Cu S O
2 1 2 2
direct
0.000 0.000 0.206
0.000 0.000 0.794
0.500 0.500 0.000
0.500 0.500 0.362
0.500 0.500 0.638
0.000 0.500 0.000
0.500 0.000 0.000
```

Principal peaks in the range 2θ = 10–90°, by angle:
- 2θ 11.4, I 61, (0 0 1)
- 2θ 23.0, I 11, (1 0 0)
- 2θ 32.7, I 100, (1 1 0)
- 2θ 42.1, I 49, (1 0 3)
- 2θ 47.0, I 32, (2 0 0)
- 2θ 58.4, I 17, (2 1 2)
- 2θ 59.7, I 9, (0 0 5)
- 2θ 64.9, I 24, (2 1 3)
- 2θ 68.6, I 10, (2 2 0)
- 2θ 69.8, I 8, (1 1 5)
- 2θ 78.1, I 11, (3 1 0)
- 2θ 79.2, I 9, (2 0 5)